(1)
Simulated powder diffraction line list
Compound: Cu7Pt5
Radiation: CuKα
Structure: a structure optimized by DFT (PBE)
Kinematic intensities with the Lorentz-polarization factor, no thermal factor.

Atomic structure:
```
12
Lattice="0.0000 3.7960 8.0461 2.7007 0.0000 8.0461 2.7007 3.7960 0.0000" Properties=species:S:1:pos:R:3 pbc="T T T"
Cu 0.0000 0.0000 0.0000
Cu 1.3504 1.8980 1.3068
Cu 2.7007 3.7960 2.5452
Cu 1.3504 1.8980 3.8275
Cu 4.0511 5.6941 9.3529
Cu 2.7007 3.7960 10.6174
Cu 4.0511 5.6941 11.8735
Pt 2.7007 3.7960 5.1477
Pt 1.3504 1.8980 6.6559
Pt 2.7007 3.7960 8.0946
Pt 2.7007 3.7960 13.1687
Pt 4.0511 5.6941 14.7020
```

Peak list (10 most intense, 15° ≤ 2θ ≤ 90°, most intense first)
d = 2.201 Å, 2θ = 41.01°, intensity 100.0
d = 2.190 Å, 2θ = 41.21°, intensity 93.4
d = 1.903 Å, 2θ = 47.79°, intensity 60.7
d = 1.344 Å, 2θ = 70.01°, intensity 37.9
d = 1.898 Å, 2θ = 47.93°, intensity 31.8
d = 1.145 Å, 2θ = 84.61°, intensity 31.4
d = 2.761 Å, 2θ = 32.43°, intensity 30.3
d = 1.149 Å, 2θ = 84.24°, intensity 23.1
d = 2.242 Å, 2θ = 40.22°, intensity 17.2
d = 1.100 Å, 2θ = 88.96°, intensity 12.2

=====

(2)
Simulated powder diffraction line list
Compound: NaAgHgS2
Radiation: CuKα
Structure: a structure optimized by DFT (PBE)
Kinematic intensities with the Lorentz-polarization factor, no thermal factor.

Atomic structure:
```
10
Lattice="7.4543 -2.0420 0.0000 7.4543 2.0420 0.0000 -2.0031 0.0000 8.0308" Properties=species:S:1:pos:R:3 pbc="T T T"
Na 2.8378 0.0000 1.5339
Na 10.0677 0.0000 6.4969
Ag 0.9720 0.0000 4.3494
Ag 11.9334 0.0000 3.6815
Hg 6.5641 0.0000 1.8092
Hg 6.3414 0.0000 6.2216
S 0.3529 0.0000 6.7800
S 4.1302 0.0000 5.1772
S 8.7753 0.0000 2.8537
S 12.5525 0.0000 1.2508
```

Peak list (10 most intense, 15° ≤ 2θ ≤ 90°, most intense first)
d = 2.906 Å, 2θ = 30.77°, intensity 100.0
d = 3.116 Å, 2θ = 28.64°, intensity 96.0
d = 3.935 Å, 2θ = 22.60°, intensity 71.6
d = 3.084 Å, 2θ = 28.95°, intensity 45.5
d = 3.034 Å, 2θ = 29.44°, intensity 42.4
d = 2.397 Å, 2θ = 37.53°, intensity 39.4
d = 1.890 Å, 2θ = 48.16°, intensity 38.8
d = 1.704 Å, 2θ = 53.81°, intensity 37.8
d = 2.675 Å, 2θ = 33.50°, intensity 31.4
d = 2.042 Å, 2θ = 44.36°, intensity 29.5

=====

(3)
Simulated powder diffraction line list
Compound: AcPtCl6
Radiation: CuKα
Structure: a structure optimized by DFT (PBE)
Kinematic intensities with the Lorentz-polarization factor, no thermal factor.

Atomic structure:
```
8
Lattice="6.3549 0.0000 0.0000 -2.8048 5.8821 0.0000 -3.0754 -1.5020 6.1207" Properties=species:S:1:pos:R:3 pbc="T T T"
Ac 0.0000 0.0000 0.0000
Pt -2.9401 2.1901 3.0604
Cl -1.0606 2.2428 1.6470
Cl -1.8593 0.5982 4.4188
Cl -1.8700 4.1242 4.5227
Cl 2.3447 0.2559 1.5980
Cl 2.3341 3.7820 1.7020
Cl 1.5354 2.1373 4.4737
```

Peak list (10 most intense, 15° ≤ 2θ ≤ 90°, most intense first)
d = 5.007 Å, 2θ = 17.72°, intensity 100.0
d = 4.783 Å, 2θ = 18.55°, intensity 94.0
d = 4.695 Å, 2θ = 18.90°, intensity 86.7
d = 3.754 Å, 2θ = 23.70°, intensity 53.5
d = 3.472 Å, 2θ = 25.66°, intensity 45.6
d = 3.496 Å, 2θ = 25.48°, intensity 41.8
d = 1.879 Å, 2θ = 48.45°, intensity 29.0
d = 2.857 Å, 2θ = 31.31°, intensity 28.9
d = 2.381 Å, 2θ = 37.78°, intensity 27.8
d = 2.086 Å, 2θ = 43.38°, intensity 24.1

=====

(4)
Simulated powder diffraction line list
Compound: Ta6CrMo5
Radiation: CuKα
Structure: a structure optimized by DFT (PBE)
Kinematic intensities with the Lorentz-polarization factor, no thermal factor.

Atomic structure:
```
12
Lattice="7.1822 -3.2121 0.0000 7.1822 3.2121 0.0000 -1.4294 0.0000 4.3125" Properties=species:S:1:pos:R:3 pbc="T T T"
Ta 4.3321 1.6176 1.4439
Ta 7.1822 1.6289 0.0000
Ta 8.6030 1.6176 2.8686
Ta 4.3321 -1.6176 1.4439
Ta 7.1822 -1.6289 0.0000
Ta 8.6030 -1.6176 2.8686
Cr -0.7147 0.0000 2.1563
Mo 2.1401 0.0000 0.7142
Mo 3.5992 0.0000 3.5945
Mo 6.4675 0.0000 2.1563
Mo 9.3359 0.0000 0.7180
Mo 10.7950 0.0000 3.5983
```

Peak list (9 most intense, 15° ≤ 2θ ≤ 90°, most intense first)
d = 2.272 Å, 2θ = 39.67°, intensity 100.0
d = 1.312 Å, 2θ = 72.00°, intensity 34.3
d = 3.213 Å, 2θ = 27.77°, intensity 13.3
d = 1.607 Å, 2θ = 57.33°, intensity 11.3
d = 1.136 Å, 2θ = 85.48°, intensity 11.1
d = 1.605 Å, 2θ = 57.41°, intensity 5.6
d = 1.436 Å, 2θ = 64.92°, intensity 4.1
d = 1.855 Å, 2θ = 49.12°, intensity 4.1
d = 1.438 Å, 2θ = 64.84°, intensity 1.4

=====

(5)
Simulated powder diffraction line list
Compound: Nd5Ho3
Radiation: CuKα
Structure: a structure optimized by DFT (PBE)
Kinematic intensities with the Lorentz-polarization factor, no thermal factor.

Atomic structure:
```
8
Lattice="3.6316 0.0000 0.0000 0.0000 3.6316 0.0000 0.0000 0.0000 20.4281" Properties=species:S:1:pos:R:3 pbc="T T T"
Nd 0.0000 0.0000 0.0000
Nd 0.0000 0.0000 5.0570
Nd 0.0000 0.0000 15.3711
Nd 1.8158 1.8158 7.6831
Nd 1.8158 1.8158 12.7450
Ho 0.0000 0.0000 10.2141
Ho 1.8158 1.8158 2.5165
Ho 1.8158 1.8158 17.9116
```

Peak list (10 most intense, 15° ≤ 2θ ≤ 90°, most intense first)
d = 2.960 Å, 2θ = 30.20°, intensity 100.0
d = 2.568 Å, 2θ = 34.94°, intensity 34.0
d = 1.548 Å, 2θ = 59.75°, intensity 28.9
d = 1.811 Å, 2θ = 50.40°, intensity 24.0
d = 2.554 Å, 2θ = 35.14°, intensity 16.6
d = 1.541 Å, 2θ = 60.02°, intensity 14.1
d = 1.480 Å, 2θ = 62.79°, intensity 12.4
d = 1.816 Å, 2θ = 50.25°, intensity 12.2
d = 1.175 Å, 2θ = 82.00°, intensity 11.6
d = 1.178 Å, 2θ = 81.76°, intensity 5.9

=====

(6)
Simulated powder diffraction line list
Compound: PrVP2
Radiation: CuKα
Structure: a structure optimized by DFT (PBE)
Kinematic intensities with the Lorentz-polarization factor, no thermal factor.

Atomic structure:
```
4
Lattice="-1.8730 1.8730 5.9709 1.8730 -1.8730 5.9709 1.8730 1.8730 -5.9709" Properties=species:S:1:pos:R:3 pbc="T T T"
Pr 0.0000 0.0000 0.0000
V 1.8730 0.0000 2.9855
P 0.0000 0.0000 4.3687
P 0.0000 0.0000 7.5732
```

Peak list (10 most intense, 15° ≤ 2θ ≤ 90°, most intense first)
d = 2.728 Å, 2θ = 32.83°, intensity 100.0
d = 3.574 Å, 2θ = 24.91°, intensity 63.8
d = 2.421 Å, 2θ = 37.13°, intensity 61.8
d = 1.544 Å, 2θ = 59.90°, intensity 34.0
d = 2.014 Å, 2θ = 45.02°, intensity 32.9
d = 2.649 Å, 2θ = 33.84°, intensity 27.2
d = 1.873 Å, 2θ = 48.61°, intensity 25.9
d = 1.591 Å, 2θ = 57.96°, intensity 21.5
d = 1.371 Å, 2θ = 68.40°, intensity 18.5
d = 1.659 Å, 2θ = 55.38°, intensity 14.7

=====

(7)
Simulated powder diffraction line list
Compound: PuBiPb2
Radiation: CuKα
Structure: a structure optimized by DFT (PBE)
Kinematic intensities with the Lorentz-polarization factor, no thermal factor.

Atomic structure:
```
4
Lattice="5.9754 0.0000 0.0000 0.0000 3.5005 0.0000 -1.8438 0.0000 5.6949" Properties=species:S:1:pos:R:3 pbc="T T T"
Pu 0.0000 0.0000 0.0000
Bi 2.9877 1.7503 0.0000
Pb -0.9219 1.7503 2.8474
Pb 2.0658 0.0000 2.8474
```

Peak list (10 most intense, 15° ≤ 2θ ≤ 90°, most intense first)
d = 2.845 Å, 2θ = 31.45°, intensity 100.0
d = 2.836 Å, 2θ = 31.55°, intensity 99.2
d = 2.481 Å, 2θ = 36.20°, intensity 69.3
d = 1.732 Å, 2θ = 52.86°, intensity 48.1
d = 2.418 Å, 2θ = 37.18°, intensity 32.3
d = 1.495 Å, 2θ = 62.10°, intensity 30.0
d = 1.491 Å, 2θ = 62.28°, intensity 29.7
d = 1.466 Å, 2θ = 63.47°, intensity 14.1
d = 1.464 Å, 2θ = 63.53°, intensity 14.0
d = 1.124 Å, 2θ = 86.58°, intensity 12.8

=====

(8)
Simulated powder diffraction line list
Compound: Te2PdBr
Radiation: CuKα
Structure: a structure optimized by DFT (PBE)
Kinematic intensities with the Lorentz-polarization factor, no thermal factor.

Atomic structure:
```
8
Lattice="4.0901 0.0000 0.0000 0.0000 5.1903 0.0000 -1.9798 -0.2112 11.6067" Properties=species:S:1:pos:R:3 pbc="T T T"
Te 0.0000 0.0000 0.0000
Te -0.0003 3.0816 1.8756
Te 0.0651 4.7931 7.8140
Te 0.0650 2.1260 9.8531
Pd 2.0449 1.5856 0.8526
Pd 2.1101 3.7105 9.1987
Br 0.0690 3.0178 5.8695
Br 2.0450 0.5205 3.1843
```

Peak list (10 most intense, 15° ≤ 2θ ≤ 90°, most intense first)
d = 3.075 Å, 2θ = 29.04°, intensity 100.0
d = 3.129 Å, 2θ = 28.53°, intensity 83.4
d = 3.181 Å, 2θ = 28.05°, intensity 79.9
d = 2.177 Å, 2θ = 41.47°, intensity 72.1
d = 2.978 Å, 2θ = 30.00°, intensity 69.7
d = 2.045 Å, 2θ = 44.29°, intensity 64.8
d = 2.955 Å, 2θ = 30.25°, intensity 64.7
d = 3.175 Å, 2θ = 28.10°, intensity 57.9
d = 1.996 Å, 2θ = 45.45°, intensity 39.3
d = 1.707 Å, 2θ = 53.69°, intensity 35.6